1.
Computed powder diffraction line list
Compound: Na4Ca3CrO8
Radiation: λ = 1.5418 Å (Cu Kα)
Structure: a PBE+U-relaxed structure
Lines closer than 0.1° are merged.

Main lines, sorted by position (10° ≤ 2θ ≤ 80°):
2θ/deg	intensity	hkl
16.1	31.4	0 0 1
16.4	7.5	2 0 -1
32.5	9.2	0 0 2
33.1	16.2	2 2 0
33.2	7.9	4 0 -2
38.3	100.0	2 2 -2
54.8	17.6	2 2 2
55.0	9.2	4 0 -4
55.6	9.3	0 4 0
55.7	17.6	6 2 -2

Cell and atoms:
Unit cell a=11.420 b=6.611 c=6.680 alpha=90.00 beta=124.51 gamma=90.00
Space group C2/m (No. 12)
Symmetry-distinct sites (fractional):
Na  0.000  0.000  0.000 (multiplicity 2)
Na  0.000  0.500  0.000 (multiplicity 2)
Na  0.250  0.250  0.000 (multiplicity 4)
Ca  0.000  0.000  0.500 (multiplicity 2)
Ca  0.250  0.250  0.500 (multiplicity 4)
Cr  0.000  0.500  0.500 (multiplicity 2)
O  0.004  0.284  0.294 (multiplicity 8)
O  0.200  0.500  0.695 (multiplicity 4)
O  0.242  0.000  0.729 (multiplicity 4)


2.
Computed powder diffraction line list
Compound: SrCaNbCrO6
Radiation: λ = 1.5418 Å (Cu Kα)
Structure: a PBE+U-relaxed structure
Lines closer than 0.1° are merged.

Main lines, sorted by position (10° ≤ 2θ ≤ 80°):
2θ/deg	intensity	hkl
31.8	24.9	0 2 0
32.0	100.0	1 1 1
32.1	23.8	2 0 -2
37.8	11.7	1 0 -4
45.8	34.1	2 2 -2
45.9	17.7	0 0 4
56.7	17.5	1 3 1
57.2	33.2	3 1 -1
66.9	17.5	2 2 2
76.2	11.4	1 1 -7

Cell and atoms:
Unit cell a=5.574 b=5.632 c=9.666 alpha=90.00 beta=125.15 gamma=90.00
Space group Pc (No. 7)
Symmetry-distinct sites (fractional):
Sr  0.000  0.225  0.000 (multiplicity 2)
Ca  0.517  0.292  0.502 (multiplicity 2)
Nb  0.255  0.248  0.750 (multiplicity 2)
Cr  0.755  0.249  0.251 (multiplicity 2)
O  0.087  0.238  0.501 (multiplicity 2)
O  0.445  0.271  0.000 (multiplicity 2)
O  0.504  0.039  0.292 (multiplicity 2)
O  0.565  0.472  0.782 (multiplicity 2)
O  0.925  0.041  0.710 (multiplicity 2)
O  0.998  0.473  0.216 (multiplicity 2)


3.
Computed powder diffraction line list
Compound: CaNdCr4O12
Radiation: λ = 1.5418 Å (Cu Kα)
Structure: a PBE+U-relaxed structure
Lines closer than 0.1° are merged.

Main lines, sorted by position (10° ≤ 2θ ≤ 80°):
2θ/deg	intensity	hkl
11.9	22.1	1 0 0
16.6	24.5	0 1 1
20.5	100.0	1 1 1
33.4	41.0	2 0 2
33.6	45.2	0 2 2
34.2	45.4	2 2 0
47.0	19.5	0 0 4
48.9	21.7	4 0 0
49.4	19.4	0 4 0
60.6	18.5	4 2 2

Cell and atoms:
Unit cell a=7.455 b=7.380 c=7.735 alpha=90.00 beta=90.00 gamma=90.00
Space group Amm2 (No. 38)
Symmetry-distinct sites (fractional):
Ca  0.000  0.000  0.000 (multiplicity 2)
Nd  0.500  0.000  0.437 (multiplicity 2)
Cr  0.247  0.242  0.723 (multiplicity 8)
O  0.000  0.223  0.697 (multiplicity 4)
O  0.220  0.000  0.236 (multiplicity 4)
O  0.251  0.217  0.949 (multiplicity 8)
O  0.284  0.000  0.665 (multiplicity 4)
O  0.500  0.218  0.206 (multiplicity 4)


4.
Computed powder diffraction line list
Compound: CaNdCrO4
Radiation: λ = 1.5418 Å (Cu Kα)
Structure: a PBE+U-relaxed structure
Lines closer than 0.1° are merged.

Main lines, sorted by position (10° ≤ 2θ ≤ 80°):
2θ/deg	intensity	hkl
18.0	33.6	1 1 0
21.7	40.2	0 2 1
31.8	38.1	0 0 2
32.1	100.0	1 3 1
33.0	38.7	2 0 0
39.9	19.2	2 2 1
44.5	17.4	1 5 1
46.5	41.4	2 0 2
56.8	21.9	1 3 3
58.4	18.0	3 3 1

Cell and atoms:
Unit cell a=5.429 b=11.913 c=5.631 alpha=90.00 beta=90.00 gamma=90.00
Space group Cmc2_1 (No. 36)
Symmetry-distinct sites (fractional):
Ca  0.000  0.103  0.000 (multiplicity 4)
Nd  0.000  0.389  0.033 (multiplicity 4)
Cr  0.000  0.249  0.517 (multiplicity 4)
O  0.000  0.082  0.583 (multiplicity 4)
O  0.000  0.422  0.451 (multiplicity 4)
O  0.247  0.227  0.264 (multiplicity 8)